# 1
Theoretical powder XRD pattern
Compound: Li2Cu5P4O16
Radiation: Cu Kα (λ = 1.5418 Å)
Structure: the PBE geometry in the Materials Project
Neutral-atom scattering factors, no anomalous dispersion.

Principal peaks in the range 10 to 90 degrees two-theta, in order of rising 2θ:
two_theta	I (rel.)	h k l
19.4	100	1 1 0
20.0	100	0 1 -1
23.4	44	1 -1 0
27.4	65	1 1 2
28.7	86	1 -1 1
33.4	64	1 2 -1
35.2	60	2 1 0
37.7	78	1 2 3

Crystal structure
```
Li2Cu5P4O16
1.0
5.1642 0.0000 0.0000
1.4736 7.7148 0.0000
0.2110 3.1183 7.5981
Li Cu P O
2 5 4 16
Cartesian
1.2199 4.3533 2.2459
5.6289 6.4798 5.3522
1.0108 2.8045 5.0960
3.1824 6.4769 1.6568
3.3189 3.8574 0.0000
3.6664 4.3562 5.9413
5.8379 8.0286 2.5021
0.9787 1.6377 0.2323
3.1221 7.2706 4.3800
3.7267 3.5625 3.2181
5.8700 9.1954 7.3658
0.8250 0.5786 1.3813
1.8707 5.5929 0.2634
2.1259 6.5668 3.3740
2.5598 8.6165 4.7528
1.8136 2.8180 0.7651
1.8834 4.0232 6.6374
2.2815 3.5694 3.7712
3.0954 6.3343 5.6589
3.7534 4.4988 1.9392
4.5673 7.2637 3.8270
4.9654 6.8098 0.9607
5.0352 8.0151 6.8330
4.2890 2.2166 2.8453
4.7229 4.2663 4.2242
4.9780 5.2401 7.3348
6.0237 10.2544 6.2168
```

# 2
Theoretical powder XRD pattern
Compound: Li2CuP2O7
Radiation: Cu Kα (λ = 1.5418 Å)
Structure: the PBE geometry in the Materials Project
Neutral-atom scattering factors, no anomalous dispersion.

Principal peaks in the range 10 to 90 degrees two-theta, in order of rising 2θ:
two_theta	I (rel.)	h k l
10.7	49	0 0 1
21.5	19	0 1 -2
21.8	100	1 0 1
24.2	22	-1 1 1
25.9	17	1 0 -2
31.2	43	0 2 -2
31.5	32	1 -2 0
34.9	24	1 0 -3

Crystal structure
```
Li2CuP2O7
1.0
5.3090 0.0000 0.0000
-1.6760 6.0425 0.0000
-0.2833 -3.2777 8.2591
Li Cu P O
4 2 4 14
Cartesian
-0.0143 1.5483 0.1088
0.3282 1.8608 6.2187
3.0214 0.9040 2.0404
3.3639 1.2164 8.1504
0.3204 -0.5920 3.1237
3.0292 3.3567 5.1354
0.0493 2.5879 3.2261
0.7888 4.4734 0.9514
2.5608 -1.7086 7.3077
3.3003 0.1769 5.0330
-1.2248 3.4842 3.4268
-0.4141 1.2050 2.7285
-0.3346 5.4274 1.4509
0.0849 0.6517 7.8499
1.1879 -2.3443 7.2094
0.8154 3.1662 1.9367
0.9724 2.5922 4.4129
2.3773 0.1725 3.8463
2.5342 -0.4014 6.3225
2.1617 5.1091 1.0497
3.2647 2.1130 0.4092
3.6842 -2.6627 6.8082
3.7638 1.5597 5.5306
4.5745 -0.7195 4.8324
```